Diffraction record for Ti7Fe9O24. The powder diffraction line list is computed, not measured: it uses a structure optimized by DFT (PBE+U) and Cu Kα, 1.54184 Å.
No peak broadening, texture or thermal motion is included.

Crystal structure
Lattice parameters (Å, degrees): 7.570 7.613 8.947 67.02 67.02 85.69
Positions (direct):
1 Ti 0.000 0.000 0.000
2 Ti 0.061 0.060 0.292
3 Ti 0.249 0.749 0.502
4 Ti 0.312 0.810 0.798
5 Ti 0.503 0.499 0.000
6 Ti 0.566 0.565 0.292
7 Ti 0.748 0.251 0.507
8 Fe 0.062 0.564 0.294
9 Fe 0.247 0.247 0.505
10 Fe 0.310 0.313 0.795
11 Fe 0.502 0.001 0.001
12 Fe 0.564 0.062 0.295
13 Fe 0.752 0.746 0.503
14 Fe 0.807 0.308 0.795
15 Fe 0.811 0.809 0.793
16 Fe 0.997 0.499 0.999
17 O 0.009 0.818 0.905
18 O 0.061 0.240 0.399
19 O 0.078 0.231 0.745
20 O 0.081 0.216 0.064
21 O 0.232 0.601 0.729
22 O 0.248 0.579 0.037
23 O 0.256 0.556 0.410
24 O 0.306 0.993 0.892
25 O 0.312 0.981 0.255
26 O 0.327 0.978 0.560
27 O 0.470 0.343 0.241
28 O 0.491 0.321 0.538
29 O 0.501 0.317 0.907
30 O 0.551 0.745 0.391
31 O 0.561 0.736 0.754
32 O 0.580 0.716 0.066
33 O 0.729 0.090 0.734
34 O 0.747 0.076 0.044
35 O 0.763 0.067 0.407
36 O 0.797 0.499 0.896
37 O 0.815 0.483 0.255
38 O 0.825 0.469 0.555
39 O 0.981 0.848 0.231
40 O 0.999 0.822 0.542

Largest 8 diffraction maxima, in order of rising 2θ, 10 to 80 degrees two-theta:
Position (°2θ), I_rel
23.5, 30
32.2, 47
32.3, 91
34.7, 100
48.1, 36
52.4, 25
52.6, 25
62.3, 31